# 1
# AuCClO
Computed X-ray powder pattern, CuKα. Input: the GGA-PBE geometry in the Materials Project.

Structure:
abc: 4.4729 16.6934 5.5809
angles: 90.00 90.00 90.00
Space group Cmcm (No. 63)
Asymmetric unit:
Au 0.0000 0.2360 0.2500
C 0.0000 0.1214 0.2500
Cl 0.0000 0.3719 0.2500
O 0.0000 0.0528 0.2500

Principal peaks in the range 2θ = 5–70°, sorted by position:
| 2θ (°) | I_rel | index |
| --- | --- | --- |
| 10.60 | 100 | 0 2 0 |
| 26.08 | 94 | 1 1 1 |
| 30.23 | 24 | 1 3 1 |
| 32.11 | 25 | 0 0 2 |
| 33.87 | 14 | 0 2 2 |
| 37.27 | 17 | 1 5 1 |
| 46.08 | 21 | 1 7 1 |
| 53.65 | 21 | 1 1 3 |

=====

# 2
# AuCClO
Computed X-ray powder pattern, CuKα. Input: the GGA-PBE geometry in the Materials Project.

Structure:
abc: 6.4061 14.5042 7.8792
angles: 90.00 90.00 90.00
Space group Cmcm (No. 63)
Asymmetric unit:
Au 0.0000 0.2415 0.2500
C 0.0000 0.1108 0.2500
Cl 0.0000 0.3957 0.2500
O 0.0000 0.0316 0.2500

Principal peaks in the range 2θ = 5–70°, sorted by position:
| 2θ (°) | I_rel | index |
| --- | --- | --- |
| 12.20 | 32 | 0 2 0 |
| 18.87 | 100 | 1 1 1 |
| 22.57 | 22 | 0 0 2 |
| 25.72 | 30 | 0 2 2 |
| 27.85 | 13 | 2 0 0 |
| 35.84 | 15 | 1 5 1 |
| 36.14 | 13 | 2 0 2 |
| 37.51 | 22 | 1 1 3 |

=====

# 3
# KH2AuC4N4O
Computed X-ray powder pattern, CuKα. Input: the GGA-PBE geometry in the Materials Project.

Structure:
abc: 6.8234 7.5058 17.5115
angles: 90.00 90.00 90.00
Space group P2_12_12_1 (No. 19)
Asymmetric unit:
K 0.2399 0.0321 0.0173
H 0.1853 0.3124 0.4304
H 0.2230 0.4074 0.5081
Au 0.2422 0.4282 0.7390
C 0.0018 0.8528 0.8164
C 0.0113 0.4996 0.2939
C 0.1351 0.3364 0.8387
C 0.1512 0.4759 0.1403
N 0.0802 0.2868 0.8981
N 0.0882 0.4224 0.0827
N 0.1292 0.9577 0.1726
N 0.1403 0.8048 0.8496
O 0.1259 0.3362 0.4805

Principal peaks in the range 2θ = 5–70°, sorted by position:
| 2θ (°) | I_rel | index |
| --- | --- | --- |
| 10.10 | 59 | 0 0 2 |
| 17.57 | 33 | 1 1 0 |
| 18.29 | 18 | 1 1 1 |
| 20.30 | 100 | 1 1 2 |
| 24.25 | 19 | 0 2 1 |
| 26.96 | 18 | 1 1 4 |
| 33.31 | 18 | 2 0 4 |
| 35.52 | 23 | 1 1 6 |

=====

# 4
# H12AuC4N
Computed X-ray powder pattern, CuKα. Input: the GGA-PBE geometry in the Materials Project.

Structure:
abc: 7.8330 7.8330 5.4877
angles: 90.00 90.00 90.00
Space group P4/nmm (No. 129, origin choice 2)
Asymmetric unit:
H 0.0194 0.2500 0.0329
H 0.0921 0.6350 0.7306
Au 0.2500 0.2500 0.6367
C 0.0919 0.7500 0.8447
N 0.2500 0.7500 0.0000

Principal peaks in the range 2θ = 5–70°, sorted by position:
| 2θ (°) | I_rel | index |
| --- | --- | --- |
| 16.00 | 81 | 1 1 0 |
| 19.75 | 90 | 1 0 1 |
| 22.70 | 89 | 2 0 0 |
| 22.81 | 86 | 1 1 1 |
| 30.27 | 100 | 2 1 1 |
| 34.64 | 51 | 1 0 2 |
| 36.29 | 61 | 3 1 0 |
| 41.82 | 46 | 2 1 2 |

=====

# 5
# HAuC4N4O2
Computed X-ray powder pattern, CuKα. Input: the GGA-PBE geometry in the Materials Project.

Structure:
abc: 6.4317 8.8840 7.3911
angles: 90.00 91.86 90.00
Space group P2_1/c (No. 14)
Asymmetric unit:
H 0.0000 0.0000 0.0000
Au 0.5000 0.0000 0.5000
C 0.2662 0.1482 0.4612
C 0.3709 0.5781 0.2258
N 0.1328 0.2353 0.4382
N 0.3021 0.6335 0.3544
O 0.1136 0.5861 0.5898

Principal peaks in the range 2θ = 5–70°, sorted by position:
| 2θ (°) | I_rel | index |
| --- | --- | --- |
| 13.78 | 65 | 1 0 0 |
| 15.60 | 100 | 0 1 1 |
| 19.99 | 33 | 0 2 0 |
| 20.61 | 70 | 1 1 -1 |
| 21.13 | 89 | 1 1 1 |
| 24.09 | 31 | 0 0 2 |
| 24.36 | 52 | 1 2 0 |
| 32.34 | 31 | 2 1 1 |